Starting from a DFT-relaxed cell (PBE, Alexandria), the X-ray diffraction stick pattern of Zr2Fe2Si was simulated for Cu Kα, 1.54184 Å.

The 8 most intense peaks (2θ from 5° to 70°), sorted by position:
| Position (°2θ) | I/Imax |
| --- | --- |
| 26.2 | 54 |
| 35.9 | 100 |
| 36.6 | 36 |
| 43.8 | 21 |
| 44.9 | 48 |
| 51.6 | 34 |
| 57.8 | 17 |
| 58.8 | 21 |

Structure:
```
5
Lattice="-2.5047 2.5047 3.4077 2.5047 -2.5047 3.4077 2.5047 2.5047 -3.4077" Properties=species:S:1:pos:R:3 pbc="T T T"
Zr 2.5047 0.0000 1.7038
Zr 0.0000 2.5047 1.7038
Fe 0.0000 0.0000 1.1946
Fe 0.0000 0.0000 5.6208
Si 0.0000 0.0000 3.4077
```

***

Starting from a DFT-relaxed cell (PBE, Alexandria), the X-ray diffraction stick pattern of Sm2Fe17 was simulated for Cu Kα, 1.54184 Å.

The 8 most intense peaks (2θ from 5° to 70°), sorted by position:
| Position (°2θ) | I/Imax |
| --- | --- |
| 30.0 | 39 |
| 36.5 | 41 |
| 37.8 | 26 |
| 42.4 | 62 |
| 42.7 | 100 |
| 43.6 | 49 |
| 61.8 | 24 |
| 62.4 | 27 |

Structure:
```
19
Lattice="4.2625 2.4610 4.1508 -4.2625 2.4610 4.1508 0.0000 -4.9219 4.1508" Properties=species:S:1:pos:R:3 pbc="T T T"
Sm 0.0000 0.0000 1.9866
Sm 0.0000 0.0000 10.4659
Fe -2.1313 -1.2305 4.1508
Fe 0.0000 -2.4508 4.0274
Fe -2.1225 1.2254 4.0274
Fe -1.2439 -2.1546 6.2263
Fe -2.4879 0.0000 6.2263
Fe -2.1225 -1.2254 8.4252
Fe 0.0000 0.0000 5.0255
Fe -2.1313 1.2305 8.3017
Fe 1.2439 -2.1546 6.2263
Fe 0.0000 2.4610 4.1508
Fe -1.2439 2.1546 6.2263
Fe 0.0000 0.0000 7.4271
Fe 2.1225 1.2254 4.0274
Fe 2.4879 0.0000 6.2263
Fe 1.2439 2.1546 6.2263
Fe 2.1225 -1.2254 8.4252
Fe 0.0000 2.4508 8.4252
```

***

Starting from a DFT-relaxed cell (PBE, Alexandria), the X-ray diffraction stick pattern of Sm6Fe23 was simulated for Cu Kα, 1.54184 Å.

The 8 most intense peaks (2θ from 5° to 70°), sorted by position:
| Position (°2θ) | I/Imax |
| --- | --- |
| 25.5 | 24 |
| 29.5 | 19 |
| 32.2 | 22 |
| 36.4 | 29 |
| 38.6 | 82 |
| 42.2 | 100 |
| 62.8 | 20 |
| 65.4 | 22 |

Structure:
```
29
Lattice="0.0000 6.0538 6.0538 6.0538 0.0000 6.0538 6.0538 6.0538 0.0000" Properties=species:S:1:pos:R:3 pbc="T T T"
Sm 6.0538 6.0538 2.5326
Sm 6.0538 2.5326 6.0538
Sm 9.5750 6.0538 6.0538
Sm 2.5326 6.0538 6.0538
Sm 6.0538 9.5750 6.0538
Sm 6.0538 6.0538 9.5750
Fe 3.0269 3.0269 0.0000
Fe 3.0269 0.0000 3.0269
Fe 6.0538 3.0269 3.0269
Fe 7.5319 4.5757 4.5757
Fe 2.1421 2.1421 2.1421
Fe 3.9117 3.9117 2.1421
Fe 3.9117 2.1421 3.9117
Fe 4.5757 4.5757 4.5757
Fe 7.5319 7.5319 4.5757
Fe 7.5319 4.5757 7.5319
Fe 2.1421 3.9117 3.9117
Fe 0.0000 3.0269 3.0269
Fe 3.0269 6.0538 3.0269
Fe 3.0269 3.0269 6.0538
Fe 6.0538 6.0538 6.0538
Fe 9.9655 8.1960 8.1960
Fe 4.5757 7.5319 4.5757
Fe 4.5757 4.5757 7.5319
Fe 7.5319 7.5319 7.5319
Fe 8.1960 9.9655 8.1960
Fe 8.1960 8.1960 9.9655
Fe 9.9655 9.9655 9.9655
Fe 4.5757 7.5319 7.5319
```

***

Starting from a DFT-relaxed cell (PBE, Alexandria), the X-ray diffraction stick pattern of SmFe11 was simulated for Cu Kα, 1.54184 Å.

The 8 most intense peaks (2θ from 5° to 70°), sorted by position:
| Position (°2θ) | I/Imax |
| --- | --- |
| 30.5 | 17 |
| 35.1 | 41 |
| 39.9 | 100 |
| 40.1 | 72 |
| 43.1 | 32 |
| 47.3 | 37 |
| 49.4 | 28 |
| 63.5 | 15 |

Structure:
```
24
Lattice="-5.0293 5.0293 3.2164 5.0293 -5.0293 3.2164 5.0293 5.0293 -3.2164" Properties=species:S:1:pos:R:3 pbc="T T T"
Sm 5.0293 2.5146 0.8041
Sm 0.0000 2.5146 2.4123
Fe 0.0000 0.0000 0.0000
Fe 2.5146 2.5146 -1.6082
Fe 2.5146 -2.5146 1.6082
Fe 5.0293 -2.5146 2.4123
Fe 3.7796 -0.4631 1.1854
Fe 6.2790 -0.4631 1.1854
Fe 2.0516 1.2650 0.4228
Fe 8.0070 1.2650 0.4228
Fe 3.7796 4.5662 -1.1854
Fe 1.2497 -0.4631 2.0310
Fe 2.0516 3.7643 0.4228
Fe 2.9777 -1.2650 3.6392
Fe 0.0000 5.0293 0.0000
Fe 2.0516 6.2943 -0.4228
Fe 2.9777 1.2650 2.7936
Fe 3.7796 5.4924 1.1854
Fe 1.2497 0.4631 4.4018
Fe -2.9777 3.7643 2.7936
Fe 2.9777 3.7643 2.7936
Fe -1.2497 5.4924 2.0310
Fe 1.2497 5.4924 2.0310
Fe 0.0000 7.5439 0.8041
```

***

Starting from a DFT-relaxed cell (PBE, Alexandria), the X-ray diffraction stick pattern of Sm4FeSn8 was simulated for Cu Kα, 1.54184 Å.

The 8 most intense peaks (2θ from 5° to 70°), sorted by position:
| Position (°2θ) | I/Imax |
| --- | --- |
| 32.1 | 18 |
| 32.3 | 100 |
| 39.6 | 18 |
| 40.3 | 17 |
| 51.9 | 9 |
| 57.8 | 12 |
| 67.3 | 13 |
| 68.3 | 14 |

Structure:
```
13
Lattice="4.4733 0.0000 0.0000 0.0000 4.5535 0.0000 0.0000 0.0000 16.7153" Properties=species:S:1:pos:R:3 pbc="T T T"
Sm 0.0000 0.0000 0.0000
Sm 0.0000 2.2768 8.2412
Sm 2.2367 0.0000 13.2514
Sm 2.2367 2.2768 4.9677
Fe 0.0000 2.2768 11.7112
Sn 0.0000 0.0000 5.5301
Sn 0.0000 0.0000 10.6243
Sn 0.0000 2.2768 2.4642
Sn 0.0000 2.2768 14.2153
Sn 2.2367 0.0000 2.5123
Sn 2.2367 0.0000 7.6265
Sn 2.2367 2.2768 10.5893
Sn 2.2367 2.2768 16.2121
```

***

Starting from a DFT-relaxed cell (PBE, Alexandria), the X-ray diffraction stick pattern of SmThFe10 was simulated for Cu Kα, 1.54184 Å.

The 8 most intense peaks (2θ from 5° to 70°), sorted by position:
| Position (°2θ) | I/Imax |
| --- | --- |
| 30.3 | 65 |
| 35.4 | 37 |
| 41.1 | 38 |
| 42.3 | 100 |
| 45.4 | 23 |
| 60.5 | 19 |
| 63.0 | 21 |
| 68.3 | 23 |

Structure:
```
12
Lattice="3.9913 0.0000 0.0000 0.0000 5.0696 0.0000 0.0000 0.0000 8.7693" Properties=species:S:1:pos:R:3 pbc="T T T"
Sm 0.0000 0.0000 0.0000
Th 0.0000 2.5348 4.3847
Fe 0.0000 0.0000 2.9246
Fe 0.0000 0.0000 5.8447
Fe 0.0000 2.5348 1.4602
Fe 0.0000 2.5348 7.3091
Fe 1.9956 0.0000 4.3847
Fe 1.9956 1.2664 2.1827
Fe 1.9956 1.2664 6.5866
Fe 1.9956 2.5348 0.0000
Fe 1.9956 3.8032 2.1827
Fe 1.9956 3.8032 6.5866
```

***

Starting from a DFT-relaxed cell (PBE, Alexandria), the X-ray diffraction stick pattern of SmTiFe11 was simulated for Cu Kα, 1.54184 Å.

The 8 most intense peaks (2θ from 5° to 70°), sorted by position:
| Position (°2θ) | I/Imax |
| --- | --- |
| 30.2 | 41 |
| 33.2 | 14 |
| 37.0 | 43 |
| 38.3 | 16 |
| 42.4 | 64 |
| 42.8 | 100 |
| 44.0 | 70 |
| 49.2 | 27 |

Structure:
```
13
Lattice="-2.3478 4.2634 4.2674 2.3478 -4.2634 4.2674 2.3478 4.2634 -4.2674" Properties=species:S:1:pos:R:3 pbc="T T T"
Sm 0.0000 0.0000 0.0000
Ti 0.0000 0.0000 3.1918
Fe 1.1715 2.1242 -2.0961
Fe 3.5241 2.1242 -2.0961
Fe 2.3478 1.9077 0.0545
Fe 2.3478 0.0000 1.9968
Fe 0.0000 3.0450 0.0449
Fe -1.1763 2.1392 2.1713
Fe 1.1763 2.1392 2.1713
Fe 0.0000 5.4819 0.0449
Fe 0.0000 0.0000 5.5533
Fe 0.0000 4.2634 2.3175
Fe 0.0000 2.3557 4.3219
```

***

Starting from a DFT-relaxed cell (PBE, Alexandria), the X-ray diffraction stick pattern of Sm3TlFe3 was simulated for Cu Kα, 1.54184 Å.

The 8 most intense peaks (2θ from 5° to 70°), sorted by position:
| Position (°2θ) | I/Imax |
| --- | --- |
| 27.6 | 59 |
| 29.0 | 89 |
| 30.9 | 77 |
| 31.4 | 69 |
| 35.9 | 100 |
| 46.0 | 31 |
| 52.1 | 55 |
| 65.3 | 30 |

Structure:
```
14
Lattice="9.8590 0.0000 0.0000 -4.9295 8.5382 0.0000 0.0000 0.0000 3.9472" Properties=species:S:1:pos:R:3 pbc="T T T"
Sm -2.7019 5.8417 0.9868
Sm 1.2214 3.2774 0.9868
Sm 3.4490 0.5810 2.9604
Sm 1.4805 7.9572 0.9868
Sm 3.7081 5.2608 2.9604
Sm 7.6314 2.6964 2.9604
Tl 0.0000 5.6921 2.9604
Tl 4.9295 2.8460 0.9868
Fe -4.0958 7.4150 2.9604
Fe 0.5559 1.2836 2.9604
Fe 1.3896 0.1604 0.9868
Fe 3.5399 8.3778 2.9604
Fe 4.3736 7.2546 0.9868
Fe 9.0253 1.1232 0.9868
```

***

What did the eighth record say?
Starting from a DFT-relaxed cell (PBE, Alexandria), the X-ray diffraction stick pattern of Sm3TlFe3 was simulated for Cu Kα, 1.54184 Å.

The 8 most intense peaks (2θ from 5° to 70°), sorted by position:
| Position (°2θ) | I/Imax |
| --- | --- |
| 27.6 | 59 |
| 29.0 | 89 |
| 30.9 | 77 |
| 31.4 | 69 |
| 35.9 | 100 |
| 46.0 | 31 |
| 52.1 | 55 |
| 65.3 | 30 |

Structure:
```
14
Lattice="9.8590 0.0000 0.0000 -4.9295 8.5382 0.0000 0.0000 0.0000 3.9472" Properties=species:S:1:pos:R:3 pbc="T T T"
Sm -2.7019 5.8417 0.9868
Sm 1.2214 3.2774 0.9868
Sm 3.4490 0.5810 2.9604
Sm 1.4805 7.9572 0.9868
Sm 3.7081 5.2608 2.9604
Sm 7.6314 2.6964 2.9604
Tl 0.0000 5.6921 2.9604
Tl 4.9295 2.8460 0.9868
Fe -4.0958 7.4150 2.9604
Fe 0.5559 1.2836 2.9604
Fe 1.3896 0.1604 0.9868
Fe 3.5399 8.3778 2.9604
Fe 4.3736 7.2546 0.9868
Fe 9.0253 1.1232 0.9868
```